(1)
Starting from a cell relaxed with GGA-PBE, the powder diffractogram of CePmCuOs was calculated for Cu Kα (λ = 1.5418 Å).

Main lines, by intensity (2θ from 10° to 80°):
36.25°, intensity 100; 65.20°, intensity 36; 52.20°, intensity 18; 76.95°, intensity 11; 21.96°, intensity 11; 42.79°, intensity 6; 57.29°, intensity 3; 69.71°, intensity 2

Structural model:
```
CePmCuOs
1.0
7.010 0.000 0.000
0.000 7.010 0.000
0.000 0.000 7.010
Ce Pm Cu Os
4 4 4 4
direct
0.000 0.000 0.000
0.000 0.500 0.500
0.500 0.000 0.500
0.500 0.500 0.000
0.000 0.000 0.500
0.000 0.500 0.000
0.500 0.000 0.000
0.500 0.500 0.500
0.250 0.250 0.250
0.250 0.750 0.750
0.750 0.250 0.750
0.750 0.750 0.250
0.250 0.250 0.750
0.250 0.750 0.250
0.750 0.250 0.250
0.750 0.750 0.750
```

(2)
Starting from a cell relaxed with GGA-PBE, the powder diffractogram of CeCu4P2 was calculated for Cu Kα (λ = 1.5418 Å).

Main lines, by intensity (2θ from 10° to 80°):
38.59°, intensity 100; 36.00°, intensity 98; 34.64°, intensity 78; 47.04°, intensity 66; 35.00°, intensity 45; 41.97°, intensity 35; 43.85°, intensity 31; 71.48°, intensity 27; 33.77°, intensity 27; 46.07°, intensity 25

Structural model:
```
CeCu4P2
1.0
10.940 0.000 0.000
0.000 14.717 0.000
0.000 0.000 3.864
Ce Cu P
6 24 12
direct
0.000 0.000 0.000
0.123 0.272 0.000
0.377 0.772 0.500
0.500 0.500 0.500
0.623 0.228 0.500
0.877 0.728 0.000
0.067 0.564 0.000
0.076 0.832 0.500
0.102 0.446 0.500
0.171 0.714 0.000
0.237 0.965 0.500
0.240 0.589 0.500
0.260 0.089 0.000
0.263 0.465 0.000
0.329 0.214 0.500
0.398 0.946 0.000
0.424 0.332 0.000
0.433 0.064 0.500
0.567 0.936 0.500
0.576 0.668 0.000
0.602 0.054 0.000
0.671 0.786 0.500
0.737 0.535 0.000
0.740 0.911 0.000
0.760 0.411 0.500
0.763 0.035 0.500
0.829 0.286 0.000
0.898 0.554 0.500
0.924 0.168 0.500
0.933 0.436 0.000
0.055 0.667 0.500
0.131 0.114 0.500
0.206 0.870 0.000
0.294 0.370 0.500
0.369 0.614 0.000
0.445 0.167 0.000
0.555 0.833 0.000
0.631 0.386 0.000
0.706 0.630 0.500
0.794 0.130 0.000
0.869 0.886 0.500
0.945 0.333 0.500
```

(3)
Starting from a cell relaxed with GGA-PBE, the powder diffractogram of Ce2CuP4 was calculated for Cu Kα (λ = 1.5418 Å).

Main lines, by intensity (2θ from 10° to 80°):
38.62°, intensity 100; 25.26°, intensity 97; 37.41°, intensity 59; 47.73°, intensity 33; 62.16°, intensity 26; 54.75°, intensity 24; 54.95°, intensity 23; 19.10°, intensity 21; 33.25°, intensity 18; 75.70°, intensity 18

Structural model:
```
Ce2CuP4
1.0
3.811 0.000 0.000
0.000 3.811 0.000
0.000 0.000 9.295
Ce Cu P
2 1 4
direct
0.000 0.500 0.245
0.500 0.000 0.755
0.000 0.000 0.500
0.000 0.000 0.000
0.000 0.500 0.645
0.500 0.000 0.355
0.500 0.500 0.000
```

(4)
Starting from a cell relaxed with GGA-PBE, the powder diffractogram of Ce4CuP5 was calculated for Cu Kα (λ = 1.5418 Å).

Main lines, by intensity (2θ from 10° to 80°):
32.27°, intensity 100; 26.87°, intensity 84; 43.73°, intensity 66; 43.25°, intensity 41; 28.70°, intensity 38; 55.38°, intensity 21; 73.09°, intensity 18; 74.30°, intensity 16; 52.07°, intensity 14; 63.19°, intensity 13

Structural model:
```
Ce4CuP5
1.0
2.070 1.195 14.594
-2.070 1.195 14.594
0.000 -2.390 14.594
Ce Cu P
4 1 5
direct
0.114 0.114 0.114
0.296 0.296 0.296
0.704 0.704 0.704
0.886 0.886 0.886
0.500 0.500 0.500
0.000 0.000 0.000
0.181 0.181 0.181
0.409 0.409 0.409
0.591 0.591 0.591
0.819 0.819 0.819
```

(5)
Starting from a cell relaxed with GGA-PBE, the powder diffractogram of Ce2CuP3 was calculated for Cu Kα (λ = 1.5418 Å).

Main lines, by intensity (2θ from 10° to 80°):
25.72°, intensity 100; 28.28°, intensity 89; 34.18°, intensity 68; 38.60°, intensity 61; 32.09°, intensity 57; 45.44°, intensity 49; 25.59°, intensity 45; 41.89°, intensity 42; 32.62°, intensity 38; 52.90°, intensity 34

Structural model:
```
Ce2CuP3
1.0
7.797 0.000 0.000
0.000 3.992 0.000
0.000 0.000 15.461
Ce Cu P
8 4 12
direct
0.102 0.250 0.219
0.250 0.250 0.965
0.250 0.750 0.465
0.398 0.750 0.719
0.602 0.250 0.281
0.750 0.250 0.535
0.750 0.750 0.035
0.898 0.750 0.781
0.115 0.250 0.635
0.385 0.750 0.135
0.615 0.250 0.865
0.885 0.750 0.365
0.016 0.250 0.401
0.113 0.750 0.076
0.168 0.250 0.782
0.332 0.750 0.282
0.387 0.250 0.576
0.484 0.750 0.901
0.516 0.250 0.099
0.613 0.750 0.424
0.668 0.250 0.718
0.832 0.750 0.218
0.887 0.250 0.924
0.984 0.750 0.599
```

(6)
Starting from a cell relaxed with GGA-PBE, the powder diffractogram of CeCuPd was calculated for Cu Kα (λ = 1.5418 Å).

Main lines, by intensity (2θ from 10° to 80°):
40.45°, intensity 100; 35.33°, intensity 88; 34.65°, intensity 77; 39.86°, intensity 66; 32.94°, intensity 46; 35.88°, intensity 40; 34.53°, intensity 39; 69.05°, intensity 27; 70.71°, intensity 23; 54.69°, intensity 23

Structural model:
```
CeCuPd
1.0
10.087 0.000 0.000
0.000 4.524 0.000
-4.409 0.000 5.194
Ce Cu Pd
4 4 4
direct
0.036 0.000 0.292
0.464 0.500 0.708
0.536 0.500 0.292
0.964 0.000 0.708
0.156 0.500 0.106
0.344 0.000 0.894
0.656 0.000 0.106
0.844 0.500 0.894
0.178 0.500 0.713
0.322 0.000 0.287
0.678 0.000 0.713
0.822 0.500 0.287
```

(7)
Starting from a cell relaxed with GGA-PBE, the powder diffractogram of Ce2CuPd3 was calculated for Cu Kα (λ = 1.5418 Å).

Main lines, by intensity (2θ from 10° to 80°):
38.84°, intensity 100; 38.69°, intensity 98; 36.85°, intensity 84; 60.43°, intensity 39; 32.16°, intensity 34; 67.50°, intensity 34; 67.27°, intensity 31; 61.72°, intensity 24; 37.30°, intensity 21; 79.24°, intensity 18

Structural model:
```
Ce2CuPd3
1.0
5.567 0.000 0.000
-2.784 4.821 0.000
0.000 0.000 8.484
Ce Cu Pd
4 2 6
direct
0.333 0.667 0.064
0.333 0.667 0.436
0.667 0.333 0.564
0.667 0.333 0.936
0.000 0.000 0.000
0.000 0.000 0.500
0.167 0.333 0.750
0.167 0.833 0.750
0.333 0.167 0.250
0.667 0.833 0.750
0.833 0.167 0.250
0.833 0.667 0.250
```

(8)
Starting from a cell relaxed with GGA-PBE, the powder diffractogram of CeZn2CuPd4 was calculated for Cu Kα (λ = 1.5418 Å).

Main lines, by intensity (2θ from 10° to 80°):
41.53°, intensity 100; 37.67°, intensity 86; 57.31°, intensity 25; 73.22°, intensity 23; 29.83°, intensity 17; 75.77°, intensity 16; 47.12°, intensity 15; 43.83°, intensity 12; 34.84°, intensity 10; 24.71°, intensity 9

Structural model:
```
CeZn2CuPd4
1.0
2.174 1.255 8.233
-2.174 1.255 8.233
0.000 -2.511 8.233
Ce Zn Cu Pd
1 2 1 4
direct
0.000 0.000 0.000
0.236 0.236 0.236
0.764 0.764 0.764
0.500 0.500 0.500
0.128 0.128 0.128
0.397 0.397 0.397
0.603 0.603 0.603
0.872 0.872 0.872
```

(9)
Starting from a cell relaxed with GGA-PBE, the powder diffractogram of CePm2Cu9 was calculated for Cu Kα (λ = 1.5418 Å).

Main lines, by intensity (2θ from 10° to 80°):
40.60°, intensity 100; 34.20°, intensity 45; 31.79°, intensity 40; 39.86°, intensity 35; 34.74°, intensity 24; 65.58°, intensity 23; 72.04°, intensity 21; 43.23°, intensity 15; 43.75°, intensity 14; 59.72°, intensity 13

Structural model:
```
CePm2Cu9
1.0
2.622 1.514 8.370
-2.622 1.514 8.370
0.000 -3.028 8.370
Ce Pm Cu
1 2 9
direct
0.000 0.000 0.000
0.144 0.144 0.144
0.856 0.856 0.856
0.085 0.579 0.579
0.332 0.332 0.332
0.421 0.421 0.915
0.421 0.915 0.421
0.500 0.500 0.500
0.579 0.085 0.579
0.579 0.579 0.085
0.668 0.668 0.668
0.915 0.421 0.421
```

(10)
Starting from a cell relaxed with GGA-PBE, the powder diffractogram of CePmCuSe4 was calculated for Cu Kα (λ = 1.5418 Å).

Main lines, by intensity (2θ from 10° to 80°):
33.05°, intensity 100; 29.46°, intensity 95; 37.51°, intensity 65; 42.87°, intensity 45; 32.49°, intensity 42; 43.95°, intensity 40; 40.14°, intensity 39; 29.57°, intensity 36; 19.76°, intensity 31; 43.08°, intensity 27

Structural model:
```
CePmCuSe4
1.0
7.022 0.000 0.000
0.000 6.044 0.000
-2.397 0.000 7.884
Ce Pm Cu Se
2 2 2 8
direct
0.242 0.250 0.437
0.758 0.750 0.563
0.241 0.250 0.934
0.759 0.750 0.066
0.244 0.750 0.684
0.756 0.250 0.316
0.071 0.750 0.894
0.073 0.750 0.389
0.485 0.510 0.245
0.485 0.990 0.245
0.515 0.010 0.755
0.515 0.490 0.755
0.927 0.250 0.611
0.929 0.250 0.106
```

(11)
Starting from a cell relaxed with GGA-PBE, the powder diffractogram of Ce2Pm2CuSi4 was calculated for Cu Kα (λ = 1.5418 Å).

Main lines, by intensity (2θ from 10° to 80°):
25.67°, intensity 100; 33.56°, intensity 85; 36.62°, intensity 80; 34.67°, intensity 43; 43.64°, intensity 39; 52.75°, intensity 27; 28.03°, intensity 27; 63.99°, intensity 25; 58.24°, intensity 21; 59.57°, intensity 20

Structural model:
```
Ce2Pm2CuSi4
1.0
-3.470 3.470 4.182
3.470 -3.470 4.182
3.470 3.470 -4.182
Ce Pm Cu Si
2 2 1 4
direct
0.170 0.170 0.000
0.830 0.830 0.000
0.250 0.750 0.500
0.750 0.250 0.500
0.500 0.500 0.000
0.267 0.267 0.535
0.267 0.733 0.000
0.733 0.267 0.000
0.733 0.733 0.465
```

(12)
Starting from a cell relaxed with GGA-PBE, the powder diffractogram of CePrCu10 was calculated for Cu Kα (λ = 1.5418 Å).

Main lines, by intensity (2θ from 10° to 80°):
41.57°, intensity 100; 29.59°, intensity 62; 41.41°, intensity 51; 43.96°, intensity 41; 40.60°, intensity 34; 35.09°, intensity 29; 67.15°, intensity 23; 61.37°, intensity 19; 40.81°, intensity 17; 74.16°, intensity 16

Structural model:
```
CePrCu10
1.0
4.120 0.000 0.000
0.000 5.141 0.000
0.000 0.000 8.844
Ce Pr Cu
1 1 10
direct
0.000 0.000 0.000
0.000 0.500 0.500
0.000 0.000 0.331
0.000 0.000 0.669
0.000 0.500 0.164
0.000 0.500 0.836
0.500 0.000 0.500
0.500 0.249 0.249
0.500 0.249 0.751
0.500 0.500 0.000
0.500 0.751 0.249
0.500 0.751 0.751
```

(13)
Starting from a cell relaxed with GGA-PBE, the powder diffractogram of Ce2PrCu2Sn2 was calculated for Cu Kα (λ = 1.5418 Å).

Main lines, by intensity (2θ from 10° to 80°):
31.87°, intensity 100; 40.13°, intensity 75; 34.19°, intensity 32; 52.13°, intensity 25; 67.76°, intensity 22; 64.35°, intensity 15; 23.07°, intensity 15; 72.92°, intensity 13; 56.48°, intensity 10; 50.76°, intensity 10

Structural model:
```
Ce2PrCu2Sn2
1.0
2.247 1.297 9.464
-2.247 1.297 9.464
0.000 -2.595 9.464
Ce Pr Cu Sn
2 1 2 2
direct
0.143 0.143 0.143
0.857 0.857 0.857
0.000 0.000 0.000
0.419 0.419 0.419
0.581 0.581 0.581
0.263 0.263 0.263
0.737 0.737 0.737
```